For Cs2CaPu3O12, the PBE geometry in Alexandria gives the computed XRD peak list in this record (Cu Kα (weighted mean of Kα1 and Kα2)).

Principal peaks in the range 2θ from 15° to 90°, low angle first:
d = 3.870 Å, 22.98 deg, rel. 32; d = 3.409 Å, 26.14 deg, rel. 100; d = 3.366 Å, 26.48 deg, rel. 51; d = 3.286 Å, 27.14 deg, rel. 28; d = 3.250 Å, 27.44 deg, rel. 67; d = 2.167 Å, 41.69 deg, rel. 17; d = 2.113 Å, 42.79 deg, rel. 17; d = 2.002 Å, 45.30 deg, rel. 37; d = 1.935 Å, 46.96 deg, rel. 28; d = 1.440 Å, 64.74 deg, rel. 20

Crystal structure
a = 7.7489 Å, b = 7.7489 Å, c = 7.7489 Å
α = 62.21°, β = 62.21°, γ = 62.21°
Fractional coordinates of all 18 atoms:
Cs  0.1189  0.1189  0.1189
Cs  0.8811  0.8811  0.8811
Ca  0.5000  0.5000  0.5000
Pu  0.0000  0.5000  0.5000
Pu  0.5000  0.0000  0.5000
Pu  0.5000  0.5000  0.0000
O  0.1466  0.5756  0.5756
O  0.1918  0.1918  0.5733
O  0.1918  0.5733  0.1918
O  0.4244  0.4244  0.8534
O  0.4244  0.8534  0.4244
O  0.4267  0.8082  0.8082
O  0.5733  0.1918  0.1918
O  0.5756  0.1466  0.5756
O  0.5756  0.5756  0.1466
O  0.8082  0.4267  0.8082
O  0.8082  0.8082  0.4267
O  0.8534  0.4244  0.4244